For Fe4O5F3, the PBE+U geometry in the Materials Project gives the theoretical powder XRD pattern in this record (Cu Kα, 1.54184 Å).

Structural model:
```
Fe4O5F3
1.0
4.7094 0.0000 0.0000
0.0000 6.1325 0.0000
-0.4092 0.0000 9.3994
Fe O F
8 10 6
direct
0.0000 0.0047 0.0000
0.0000 0.9953 0.5000
0.0691 0.4917 0.9658
0.0691 0.5083 0.4658
0.5111 0.2500 0.2198
0.5111 0.7500 0.7198
0.5247 0.2501 0.7291
0.5247 0.7499 0.2291
0.2174 0.2482 0.0751
0.2174 0.7518 0.5751
0.2204 0.2519 0.5758
0.2204 0.7481 0.0758
0.3491 0.4976 0.8176
0.3491 0.5024 0.3176
0.7034 0.0052 0.6397
0.7034 0.9948 0.1397
0.8276 0.2483 0.8805
0.8276 0.7517 0.3805
0.3206 0.0066 0.3307
0.3206 0.9934 0.8307
0.7294 0.4985 0.1258
0.7294 0.5015 0.6258
0.8286 0.2515 0.3784
0.8286 0.7485 0.8784
```

Main lines, by angle (10 to 80 degrees two-theta):
3.400 Å, intensity 95
3.255 Å, intensity 92
2.568 Å, intensity 100
2.351 Å, intensity 16
2.277 Å, intensity 18
1.755 Å, intensity 53
1.714 Å, intensity 54
1.533 Å, intensity 17
1.397 Å, intensity 29
1.395 Å, intensity 18


For KTaWO7, the PBE+U geometry in the Materials Project gives the theoretical powder XRD pattern in this record (Cu Kα, 1.54184 Å).

Structural model:
```
KTaWO7
1.0
-3.7331 3.7598 5.2737
3.7331 -3.7598 5.2737
3.7331 3.7598 -5.2737
K Ta W O
2 2 2 14
direct
0.5000 0.0000 0.0000
0.5000 0.5000 0.5000
0.0000 0.0000 0.0000
0.5000 0.0000 0.5000
0.0000 0.0000 0.5000
0.0000 0.5000 0.0000
0.0000 0.5000 0.5000
0.0569 0.3069 0.7500
0.0601 0.3132 0.1171
0.0601 0.9429 0.7469
0.3040 0.0571 0.6171
0.3040 0.6868 0.2469
0.3118 0.0618 0.2500
0.5000 0.5000 0.0000
0.6882 0.9382 0.7500
0.6960 0.3132 0.7531
0.6960 0.9429 0.3829
0.9399 0.0571 0.2531
0.9399 0.6868 0.8829
0.9431 0.6931 0.2500
```

Main lines, by angle (10 to 80 degrees two-theta):
6.107 Å, intensity 100
3.200 Å, intensity 18
3.185 Å, intensity 29
3.061 Å, intensity 51
3.047 Å, intensity 51
2.649 Å, intensity 25
1.868 Å, intensity 35
1.786 Å, intensity 13
1.600 Å, intensity 15
1.593 Å, intensity 22


For LiMn3B3O9, the PBE+U geometry in the Materials Project gives the theoretical powder XRD pattern in this record (Cu Kα, 1.54184 Å).

Structural model:
```
LiMn3B3O9
1.0
5.9743 0.0000 0.0000
-1.0856 7.7451 0.0000
-2.7959 -3.6036 7.8797
Li Mn B O
2 6 6 18
direct
0.2205 0.0449 0.3854
0.7795 0.9551 0.6146
0.0570 0.3153 0.6036
0.2994 0.0541 0.0645
0.3618 0.6048 0.2527
0.6382 0.3952 0.7473
0.7006 0.9459 0.9355
0.9430 0.6847 0.3964
0.0506 0.2988 0.9326
0.2870 0.0318 0.7223
0.4146 0.6412 0.6069
0.5854 0.3588 0.3931
0.7130 0.9682 0.2777
0.9494 0.7012 0.0674
0.0303 0.1646 0.9995
0.0842 0.8845 0.6452
0.1196 0.7546 0.2345
0.2296 0.4636 0.0103
0.2598 0.5814 0.4397
0.3395 0.1544 0.6500
0.3866 0.5244 0.6905
0.4099 0.1867 0.3108
0.4433 0.0770 0.8946
0.5567 0.9230 0.1054
0.5901 0.8133 0.6892
0.6134 0.4756 0.3095
0.6605 0.8456 0.3500
0.7402 0.4186 0.5603
0.7704 0.5364 0.9897
0.8804 0.2454 0.7655
0.9158 0.1155 0.3548
0.9697 0.8354 0.0005
```

Main lines, by angle (10 to 80 degrees two-theta):
4.417 Å, intensity 100
4.279 Å, intensity 24
4.006 Å, intensity 53
3.870 Å, intensity 68
2.646 Å, intensity 34
2.629 Å, intensity 36
2.522 Å, intensity 61
2.385 Å, intensity 30
2.208 Å, intensity 26
1.723 Å, intensity 28


For MgMn6O11F, the PBE+U geometry in the Materials Project gives the theoretical powder XRD pattern in this record (Cu Kα, 1.54184 Å).

Structural model:
```
MgMn6O11F
1.0
5.6621 0.0000 0.0000
0.8505 5.8144 0.0000
1.9574 2.1166 6.4621
Mg Mn O F
1 6 11 1
direct
0.0000 0.0000 0.0000
0.3583 0.8202 0.1843
0.3685 0.7731 0.6769
0.6269 0.1709 0.8330
0.6519 0.1680 0.3508
0.9752 0.5075 0.0113
0.9772 0.4949 0.5150
0.0123 0.8181 0.3153
0.0899 0.5962 0.7134
0.2380 0.7142 0.9721
0.3018 0.1395 0.0157
0.4405 0.9203 0.3820
0.5332 0.0591 0.6451
0.6375 0.5065 0.6644
0.6898 0.8379 0.0102
0.7493 0.2668 0.0506
0.9027 0.3802 0.3100
0.9662 0.1695 0.6987
0.3584 0.4753 0.3552
```

Main lines, by angle (10 to 80 degrees two-theta):
3.767 Å, intensity 100
3.230 Å, intensity 63
2.521 Å, intensity 56
2.495 Å, intensity 15
2.474 Å, intensity 15
2.386 Å, intensity 16
1.884 Å, intensity 14
1.811 Å, intensity 13
1.796 Å, intensity 14
1.455 Å, intensity 24


For BaCrF7, the PBE+U geometry in the Materials Project gives the theoretical powder XRD pattern in this record (Cu Kα, 1.54184 Å).

Structural model:
```
BaCrF7
1.0
5.5228 0.0000 0.0000
0.0000 10.0010 0.0000
-0.7793 0.0000 9.9478
Ba Cr F
4 4 28
direct
0.2430 0.2079 0.0071
0.2430 0.2921 0.5071
0.7570 0.7079 0.4929
0.7570 0.7921 0.9929
0.3134 0.6132 0.1883
0.3134 0.8868 0.6883
0.6866 0.1132 0.3117
0.6866 0.3868 0.8117
0.0360 0.6908 0.2405
0.0360 0.8092 0.7405
0.0928 0.5319 0.5846
0.0928 0.9681 0.0846
0.1592 0.0398 0.6369
0.1592 0.4602 0.1369
0.2443 0.6930 0.0219
0.2443 0.8070 0.5219
0.3936 0.5469 0.3595
0.3936 0.9531 0.8595
0.4088 0.0503 0.3713
0.4088 0.4497 0.8713
0.4929 0.7358 0.7405
0.4929 0.7642 0.2405
0.5071 0.2358 0.7595
0.5071 0.2642 0.2595
0.5912 0.5503 0.1287
0.5912 0.9497 0.6287
0.6064 0.0469 0.1405
0.6064 0.4531 0.6405
0.7557 0.1930 0.4781
0.7557 0.3070 0.9781
0.8408 0.5398 0.8631
0.8408 0.9602 0.3631
0.9072 0.0319 0.9154
0.9072 0.4681 0.4154
0.9640 0.1908 0.2595
0.9640 0.3092 0.7595
```

Main lines, by angle (10 to 80 degrees two-theta):
4.990 Å, intensity 70
4.823 Å, intensity 51
4.466 Å, intensity 60
3.587 Å, intensity 80
3.529 Å, intensity 100
3.350 Å, intensity 93
2.852 Å, intensity 39
2.232 Å, intensity 90
2.227 Å, intensity 63
2.204 Å, intensity 68